# 1
The following is a calculated X-ray diffraction stick pattern of NbAlRh5. It was derived from a GGA-PBE-relaxed structure, using CuKα.
Neutral-atom scattering factors, no anomalous dispersion.

Largest 8 diffraction maxima, sorted by position, 10 to 90 degrees two-theta:
(1 1 0), 2θ = 31.44°, rel. 11
(1 1 1), 2θ = 34.32°, rel. 29
(1 1 2), 2θ = 41.92°, rel. 100
(2 0 0), 2θ = 45.05°, rel. 44
(2 0 3), 2θ = 62.55°, rel. 12
(2 2 0), 2θ = 65.61°, rel. 14
(2 0 4), 2θ = 74.33°, rel. 13
(3 1 2), 2θ = 80.97°, rel. 28

Structure:
abc: 4.0244 4.0244 6.6017
angles: 90.00 90.00 90.00
Sites, in units of the cell vectors:
Nb  0.0000  0.0000  0.0000
Al  0.5000  0.5000  0.5000
Rh  0.0000  0.5000  0.2793
Rh  0.0000  0.5000  0.7207
Rh  0.5000  0.0000  0.2793
Rh  0.5000  0.0000  0.7207
Rh  0.5000  0.5000  0.0000



# 2
The following is a calculated X-ray diffraction stick pattern of BaVFe2. It was derived from a GGA-PBE-relaxed structure, using CuKα.
Neutral-atom scattering factors, no anomalous dispersion.

Largest 8 diffraction maxima, sorted by position, 10 to 90 degrees two-theta:
(1 0 3), 2θ = 24.68°, rel. 55
(1 1 2), 2θ = 27.83°, rel. 100
(1 0 5), 2θ = 33.69°, rel. 25
(2 0 0), 2θ = 36.20°, rel. 25
(2 1 1), 2θ = 41.07°, rel. 28
(2 0 4), 2θ = 43.05°, rel. 59
(2 2 4), 2θ = 57.50°, rel. 33
(3 1 2), 2θ = 60.11°, rel. 21

Structure:
abc: 4.9631 4.9631 15.7539
angles: 90.00 90.00 90.00
Sites, in units of the cell vectors:
Ba  0.0000  0.2500  0.3750
Ba  0.0000  0.7500  0.6250
Ba  0.5000  0.2500  0.1250
Ba  0.5000  0.7500  0.8750
V  0.0000  0.2500  0.8750
V  0.0000  0.7500  0.1250
V  0.5000  0.2500  0.6250
V  0.5000  0.7500  0.3750
Fe  0.0000  0.0000  0.0000
Fe  0.0000  0.5000  0.0000
Fe  0.2500  0.2500  0.7500
Fe  0.2500  0.7500  0.2500
Fe  0.5000  0.0000  0.5000
Fe  0.5000  0.5000  0.5000
Fe  0.7500  0.2500  0.7500
Fe  0.7500  0.7500  0.2500



# 3
The following is a calculated X-ray diffraction stick pattern of B7C5. It was derived from a GGA-PBE-relaxed structure, using CuKα.
Neutral-atom scattering factors, no anomalous dispersion.

Largest 8 diffraction maxima, sorted by position, 10 to 90 degrees two-theta:
(0 0 1), 2θ = 11.62°, rel. 31
(1 0 0), 2θ = 19.52°, rel. 24
(1 0 -1), 2θ = 21.78°, rel. 74
(0 0 2), 2θ = 23.35°, rel. 100
(1 0 1), 2θ = 23.73°, rel. 63
(0 0 3), 2θ = 35.33°, rel. 21
(1 1 0), 2θ = 38.81°, rel. 62
(1 0 -3), 2θ = 38.93°, rel. 28

Structure:
abc: 4.5680 2.6983 7.6540
angles: 90.00 95.50 90.00
Sites, in units of the cell vectors:
B  0.0000  0.0000  0.0000
B  0.0104  0.0000  0.7681
B  0.3236  0.5000  0.2235
B  0.4569  0.0000  0.5699
B  0.7990  0.5000  0.6690
B  0.8261  0.0000  0.2668
B  0.8466  0.5000  0.8874
C  0.1526  0.0000  0.1895
C  0.3600  0.0000  0.7746
C  0.5134  0.5000  0.8253
C  0.5568  0.5000  0.4943
C  0.6684  0.5000  0.3051